Starting from a crystal structure in Alexandria, relaxed with PBE, the powder X-ray diffraction pattern of Pm4Hg3 was calculated for copper Kα.
Kinematic intensities with the Lorentz-polarization factor, no thermal factor.

Crystal structure
Lattice parameters (Å, degrees): 14.4540 14.4540 6.5830 90.00 90.00 120.00
Space group R-3 (No. 148, hexagonal axes)
Symmetry-distinct sites (fractional):
Pm 0.0000 0.0000 0.0000 (multiplicity 3)
Pm 0.0000 0.0000 0.5000 (multiplicity 3)
Pm 0.0509 0.2493 0.1724 (multiplicity 18)
Hg 0.0482 0.2277 0.6839 (multiplicity 18)

Principal peaks in the range 2θ from 5° to 70°, in order of falling intensity:
2theta, d/Å, I/Imax
32.79, 2.732, 100
33.16, 2.702, 98
47.32, 1.921, 35
58.76, 1.571, 35
59.47, 1.554, 17
58.53, 1.577, 17
69.59, 1.351, 10
68.73, 1.366, 10
23.15, 3.842, 4
29.08, 3.071, 3
62.79, 1.480, 2
40.52, 2.226, 2

---

Starting from a crystal structure in Alexandria, relaxed with PBE, the powder X-ray diffraction pattern of Pr3SmTm4 was calculated for copper Kα.
Kinematic intensities with the Lorentz-polarization factor, no thermal factor.

Crystal structure
Lattice parameters (Å, degrees): 11.5090 7.3196 6.2793 90.00 90.00 90.00
Space group Pmn2_1 (No. 31)
Symmetry-distinct sites (fractional):
Pr 0.0000 0.1290 0.0000 (multiplicity 2)
Pr 0.2490 0.1289 0.3404 (multiplicity 4)
Sm 0.0000 0.8687 0.5020 (multiplicity 2)
Tm 0.0000 0.3817 0.5032 (multiplicity 2)
Tm 0.0000 0.6198 0.0052 (multiplicity 2)
Tm 0.2494 0.6188 0.3372 (multiplicity 4)

Principal peaks in the range 2θ from 5° to 70°, in order of falling intensity:
2theta, d/Å, I/Imax
32.30, 2.771, 100
32.49, 2.756, 48
31.08, 2.877, 37
28.22, 3.162, 23
60.24, 1.536, 22
56.08, 1.640, 21
50.21, 1.817, 19
60.75, 1.524, 16
42.48, 2.128, 15
28.43, 3.140, 12
59.90, 1.544, 11
56.20, 1.637, 10

---

Starting from a crystal structure in Alexandria, relaxed with PBE, the powder X-ray diffraction pattern of Ce2ICl was calculated for copper Kα.
Kinematic intensities with the Lorentz-polarization factor, no thermal factor.

Crystal structure
Lattice parameters (Å, degrees): 3.7304 3.7304 27.5627 90.00 90.00 120.00
Space group R3m (No. 160, hexagonal axes)
Symmetry-distinct sites (fractional):
Ce 0.0000 0.0000 0.0000 (multiplicity 3)
Ce 0.0000 0.0000 0.1529 (multiplicity 3)
I 0.0000 0.0000 0.5753 (multiplicity 3)
Cl 0.0000 0.0000 0.7439 (multiplicity 3)

Principal peaks in the range 2θ from 5° to 70°, in order of falling intensity:
2theta, d/Å, I/Imax
35.96, 2.498, 100
32.11, 2.787, 98
28.38, 3.145, 79
48.83, 1.865, 46
64.33, 1.448, 39
39.22, 2.297, 25
54.59, 1.681, 22
62.11, 1.494, 20
59.65, 1.550, 16
27.80, 3.209, 13
29.16, 3.063, 13
57.89, 1.593, 11

---

Starting from a crystal structure in Alexandria, relaxed with PBE, the powder X-ray diffraction pattern of Th3RuPt2 was calculated for copper Kα.
Kinematic intensities with the Lorentz-polarization factor, no thermal factor.

Crystal structure
Lattice parameters (Å, degrees): 8.3911 5.8829 12.3150 90.00 90.00 90.00
Space group Pnma (No. 62)
Symmetry-distinct sites (fractional):
Th 0.1117 0.2500 0.0800 (multiplicity 4)
Th 0.1255 0.2500 0.7480 (multiplicity 4)
Th 0.1409 0.2500 0.4236 (multiplicity 4)
Ru 0.1252 0.7500 0.0885 (multiplicity 4)
Pt 0.1244 0.7500 0.7419 (multiplicity 4)
Pt 0.1257 0.7500 0.4190 (multiplicity 4)

Principal peaks in the range 2θ from 5° to 70°, in order of falling intensity:
2theta, d/Å, I/Imax
30.44, 2.937, 100
43.57, 2.077, 51
53.66, 1.708, 14
54.52, 1.683, 13
43.12, 2.098, 13
44.12, 2.052, 12
63.40, 1.467, 8
63.23, 1.471, 4
26.48, 3.366, 2
26.09, 3.416, 2
36.30, 2.475, 1
23.45, 3.794, 1

---

Starting from a crystal structure in Alexandria, relaxed with PBE, the powder X-ray diffraction pattern of Nd3AlSn3 was calculated for copper Kα.
Kinematic intensities with the Lorentz-polarization factor, no thermal factor.

Crystal structure
Lattice parameters (Å, degrees): 11.7346 4.5750 15.3257 90.00 107.97 90.00
Space group C2/m (No. 12)
Symmetry-distinct sites (fractional):
Nd 0.0162 0.0000 0.3799 (multiplicity 4)
Nd 0.1040 0.0000 0.9217 (multiplicity 4)
Nd 0.2339 0.0000 0.2307 (multiplicity 4)
Al 0.2298 0.5000 0.3752 (multiplicity 4)
Sn 0.0096 0.5000 0.2287 (multiplicity 4)
Sn 0.1212 0.5000 0.0762 (multiplicity 4)
Sn 0.1452 0.5000 0.5418 (multiplicity 4)

Principal peaks in the range 2θ from 5° to 70°, in order of falling intensity:
2theta, d/Å, I/Imax
30.43, 2.937, 100
36.11, 2.488, 65
29.56, 3.022, 55
30.09, 2.970, 51
30.57, 2.925, 51
39.39, 2.288, 49
50.67, 1.801, 38
37.04, 2.427, 37
34.72, 2.584, 35
55.18, 1.665, 24
58.66, 1.574, 23
65.97, 1.416, 21

---

Starting from a crystal structure in Alexandria, relaxed with PBE, the powder X-ray diffraction pattern of Ce3Ga5Au6 was calculated for copper Kα.
Kinematic intensities with the Lorentz-polarization factor, no thermal factor.

Crystal structure
Lattice parameters (Å, degrees): 4.5163 13.5670 9.3581 90.00 90.00 90.00
Space group Pmmn (No. 59, origin choice 2)
Symmetry-distinct sites (fractional):
Ce 0.2500 0.0529 0.2478 (multiplicity 4)
Ce 0.2500 0.7500 0.2526 (multiplicity 2)
Ga 0.2500 0.0824 0.6083 (multiplicity 4)
Ga 0.2500 0.6074 0.9730 (multiplicity 4)
Ga 0.2500 0.7500 0.7472 (multiplicity 2)
Au 0.2500 0.0900 0.8809 (multiplicity 4)
Au 0.2500 0.2500 0.0800 (multiplicity 2)
Au 0.2500 0.2500 0.4544 (multiplicity 2)
Au 0.2500 0.6101 0.5299 (multiplicity 4)

Principal peaks in the range 2θ from 5° to 70°, in order of falling intensity:
2theta, d/Å, I/Imax
33.97, 2.639, 100
39.90, 2.259, 84
34.95, 2.567, 46
37.46, 2.401, 36
34.43, 2.605, 29
44.25, 2.047, 22
57.70, 1.598, 22
54.08, 1.696, 21
38.71, 2.326, 19
65.91, 1.417, 19
29.54, 3.024, 19
44.10, 2.053, 17

---

Starting from a crystal structure in Alexandria, relaxed with PBE, the powder X-ray diffraction pattern of TmTh4Co2 was calculated for copper Kα.
Kinematic intensities with the Lorentz-polarization factor, no thermal factor.

Crystal structure
Lattice parameters (Å, degrees): 7.0494 6.7750 8.3672 90.00 112.54 90.00
Space group P2_1/m (No. 11)
Symmetry-distinct sites (fractional):
Tm 0.0048 0.2500 0.2784 (multiplicity 2)
Th 0.2357 0.2500 0.7046 (multiplicity 2)
Th 0.2947 0.5012 0.0940 (multiplicity 4)
Th 0.3386 0.7500 0.5011 (multiplicity 2)
Co 0.0134 0.7500 0.1423 (multiplicity 2)
Co 0.3949 0.7500 0.8621 (multiplicity 2)

Principal peaks in the range 2θ from 5° to 70°, in order of falling intensity:
2theta, d/Å, I/Imax
33.87, 2.647, 100
28.78, 3.103, 77
31.11, 2.874, 59
28.57, 3.125, 57
32.09, 2.789, 47
36.81, 2.441, 47
34.79, 2.579, 46
34.41, 2.606, 41
57.11, 1.613, 29
54.15, 1.694, 26
51.49, 1.775, 26
59.13, 1.562, 24

---

Starting from a crystal structure in Alexandria, relaxed with PBE, the powder X-ray diffraction pattern of In6Hg6Pb was calculated for copper Kα.
Kinematic intensities with the Lorentz-polarization factor, no thermal factor.

Crystal structure
Lattice parameters (Å, degrees): 6.4827 11.2689 9.9213 90.00 90.00 90.00
Space group Cmmm (No. 65)
Symmetry-distinct sites (fractional):
In 0.0000 0.0000 0.2485 (multiplicity 4)
In 0.2500 0.2500 0.2483 (multiplicity 8)
Hg 0.0000 0.1662 0.0000 (multiplicity 4)
Hg 0.0000 0.1664 0.5000 (multiplicity 4)
Hg 0.0000 0.5000 0.3469 (multiplicity 4)
Pb 0.0000 0.5000 0.0000 (multiplicity 2)

Principal peaks in the range 2θ from 5° to 70°, in order of falling intensity:
2theta, d/Å, I/Imax
32.97, 2.717, 100
27.47, 3.247, 89
36.74, 2.446, 66
31.82, 2.812, 37
31.38, 2.851, 34
63.09, 1.473, 33
39.72, 2.269, 27
56.64, 1.625, 26
36.22, 2.480, 21
38.87, 2.317, 19
52.20, 1.752, 18
42.18, 2.142, 14

---

Starting from a crystal structure in Alexandria, relaxed with PBE, the powder X-ray diffraction pattern of MgGa2Cu2 was calculated for copper Kα.
Kinematic intensities with the Lorentz-polarization factor, no thermal factor.

Crystal structure
Lattice parameters (Å, degrees): 4.6017 11.9431 5.6376 90.00 90.85 90.00
Space group C2/c (No. 15)
Symmetry-distinct sites (fractional):
Mg 0.0000 0.0877 0.2500 (multiplicity 4)
Ga 0.0023 0.3200 0.0011 (multiplicity 8)
Cu 0.0000 0.1397 0.7500 (multiplicity 4)
Cu 0.0000 0.4906 0.2500 (multiplicity 4)

Principal peaks in the range 2θ from 5° to 70°, in order of falling intensity:
2theta, d/Å, I/Imax
43.79, 2.068, 100
44.23, 2.048, 97
39.16, 2.301, 90
42.65, 2.120, 77
35.21, 2.549, 65
20.69, 4.294, 41
45.59, 1.990, 36
21.68, 4.099, 25
66.31, 1.410, 21
61.61, 1.505, 19
53.28, 1.719, 19
54.05, 1.697, 18

---

Starting from a crystal structure in Alexandria, relaxed with PBE, the powder X-ray diffraction pattern of CsThZn2Cl8 was calculated for copper Kα.
Kinematic intensities with the Lorentz-polarization factor, no thermal factor.

Crystal structure
Lattice parameters (Å, degrees): 6.6537 6.6537 31.0018 90.00 90.00 120.00
Space group R-3 (No. 148, hexagonal axes)
Symmetry-distinct sites (fractional):
Cs 0.0000 0.0000 0.0000 (multiplicity 3)
Th 0.0000 0.0000 0.5000 (multiplicity 3)
Zn 0.0000 0.0000 0.2493 (multiplicity 6)
Cl 0.0000 0.0000 0.3209 (multiplicity 6)
Cl 0.0013 0.6657 0.8859 (multiplicity 18)

Principal peaks in the range 2θ from 5° to 70°, in order of falling intensity:
2theta, d/Å, I/Imax
19.19, 4.624, 100
26.80, 3.327, 41
44.40, 2.040, 38
27.74, 3.216, 32
32.00, 2.797, 32
33.17, 2.701, 25
43.15, 2.097, 25
47.33, 1.921, 24
8.56, 10.334, 17
47.91, 1.899, 15
16.41, 5.401, 15
38.95, 2.312, 14

---

Starting from a crystal structure in Alexandria, relaxed with PBE, the powder X-ray diffraction pattern of Mg4GaCu was calculated for copper Kα.
Kinematic intensities with the Lorentz-polarization factor, no thermal factor.

Crystal structure
Lattice parameters (Å, degrees): 6.7511 6.7511 5.0791 90.00 90.00 90.00
Space group I422 (No. 97)
Symmetry-distinct sites (fractional):
Mg 0.1580 0.3420 0.2500 (multiplicity 8)
Ga 0.0000 0.0000 0.0000 (multiplicity 2)
Cu 0.0000 0.0000 0.5000 (multiplicity 2)

Principal peaks in the range 2θ from 5° to 70°, in order of falling intensity:
2theta, d/Å, I/Imax
18.59, 4.774, 100
42.34, 2.135, 76
40.22, 2.242, 67
44.65, 2.029, 56
34.56, 2.595, 43
26.40, 3.376, 35
37.69, 2.387, 34
69.74, 1.348, 24
66.52, 1.406, 21
61.42, 1.510, 18
52.62, 1.739, 16
56.30, 1.634, 12

---

Starting from a crystal structure in Alexandria, relaxed with PBE, the powder X-ray diffraction pattern of Ca4Ac2Sb3H2 was calculated for copper Kα.
Kinematic intensities with the Lorentz-polarization factor, no thermal factor.

Crystal structure
Lattice parameters (Å, degrees): 4.8461 4.8461 25.8057 90.00 90.00 90.00
Space group I4/mmm (No. 139)
Symmetry-distinct sites (fractional):
Ca 0.0000 0.5000 0.0792 (multiplicity 8)
Ac 0.0000 0.0000 0.1995 (multiplicity 4)
Sb 0.0000 0.0000 0.3323 (multiplicity 4)
Sb 0.0000 0.0000 0.5000 (multiplicity 2)
H 0.0000 0.0000 0.0958 (multiplicity 4)

Principal peaks in the range 2θ from 5° to 70°, in order of falling intensity:
2theta, d/Å, I/Imax
6.85, 12.903, 100
33.43, 2.680, 82
30.47, 2.934, 80
26.00, 3.427, 70
37.10, 2.423, 65
26.92, 3.312, 64
48.74, 1.868, 44
21.04, 4.222, 32
64.56, 1.444, 23
53.48, 1.713, 22
49.63, 1.837, 21
63.56, 1.464, 20